LaNdSi2Br2: calculated powder diffraction line list (copper Kα), based on a cell relaxed with PBE.
Neutral-atom scattering factors, no anomalous dispersion.

Most intense lines, 15 to 90 degrees two-theta, by angle:
15.3 deg, I = 24, hkl 0 0 2
24.8 deg, I = 22, hkl 1 0 0
26.0 deg, I = 46, hkl 1 0 1
29.3 deg, I = 45, hkl 1 0 2
34.1 deg, I = 100, hkl 0 1 3
43.6 deg, I = 42, hkl 1 1 0
46.7 deg, I = 17, hkl 0 1 5
56.5 deg, I = 23, hkl 2 0 3
66.2 deg, I = 21, hkl 1 1 6
74.0 deg, I = 21, hkl 1 2 3

Structure:
```
LaNdSi2Br2
1.0
4.151 0.000 0.000
-2.075 3.595 0.000
0.000 0.000 11.565
La Nd Si Br
1 1 2 2
Direct
0.000 0.000 0.000
0.000 0.000 0.647
0.333 0.667 0.828
0.667 0.333 0.815
0.333 0.667 0.485
0.667 0.333 0.168
```